1.
# Hf6Zn16Cu7
Calculated powder X-ray diffraction pattern, copper Kα. Input: the GGA-PBE geometry in OQMD.
No peak broadening, texture or thermal motion is included.

Atomic structure:
Cell: 12.0441 12.0441 12.0441 Å, 90.00 90.00 90.00°
Space group Fm-3m (No. 225)
Symmetry-distinct sites (fractional):
Hf 0.0000 0.0000 0.1918 x24
Zn 0.1197 0.1197 0.3803 x32
Zn 0.1663 0.1663 0.1663 x32
Cu 0.0000 0.0000 0.5000 x4
Cu 0.0000 0.2500 0.2500 x24

Main lines, by intensity (2θ from 10° to 90°):
- d = 2.318 Å, I = 100, (3 3 3)
- d = 2.129 Å, I = 73, (4 4 0)
- d = 2.458 Å, I = 34, (4 2 2)
- d = 1.419 Å, I = 28, (6 6 0)
- d = 2.007 Å, I = 24, (6 0 0)
- d = 2.763 Å, I = 24, (3 3 1)
- d = 1.210 Å, I = 22, (9 3 3)
- d = 1.391 Å, I = 14, (5 5 5)
- d = 1.314 Å, I = 13, (8 4 2)
- d = 1.568 Å, I = 12, (7 3 1)



2.
# Hf3ZnCu2
Calculated powder X-ray diffraction pattern, copper Kα. Input: the GGA-PBE geometry in OQMD.
No peak broadening, texture or thermal motion is included.

Atomic structure:
Cell: 11.7931 11.7931 11.7931 Å, 90.00 90.00 90.00°
Space group Fd-3m (No. 227, origin choice 2)
Symmetry-distinct sites (fractional):
Hf 0.0708 0.3750 0.3750 x48
Zn 0.0000 0.0000 0.5000 x16
Cu 0.0423 0.0423 0.7077 x32

Main lines, by intensity (2θ from 10° to 90°):
- d = 2.270 Å, I = 100, (3 3 3)
- d = 2.407 Å, I = 51, (4 2 2)
- d = 1.390 Å, I = 45, (6 6 0)
- d = 2.085 Å, I = 32, (4 4 0)
- d = 2.706 Å, I = 27, (3 3 1)
- d = 2.948 Å, I = 21, (4 0 0)
- d = 1.185 Å, I = 16, (9 3 3)
- d = 1.441 Å, I = 13, (7 3 3)
- d = 1.535 Å, I = 12, (5 5 3)
- d = 1.362 Å, I = 11, (5 5 5)



3.
# Cu7Hg6
Calculated powder X-ray diffraction pattern, copper Kα. Input: the GGA-PBE geometry in OQMD.
No peak broadening, texture or thermal motion is included.

Atomic structure:
Cell: 12.1569 12.1569 16.0546 Å, 90.00 90.00 120.00°
Space group R3m (No. 160, hexagonal axes)
Symmetry-distinct sites (fractional):
Cu 0.0000 0.0000 0.0000 x3
Cu 0.0000 0.0000 0.2412 x3
Cu 0.0735 0.1471 0.1199 x9
Cu 0.1095 0.5547 0.6424 x9
Cu 0.1450 0.0725 0.8801 x9
Cu 0.2183 0.4366 0.6987 x9
Hg 0.0755 0.4011 0.4266 x18
Hg 0.0965 0.5482 0.9769 x9
Hg 0.2057 0.4114 0.8788 x9

Main lines, by intensity (2θ from 10° to 90°):
- d = 8.804 Å, I = 100, (1 0 1)
- d = 4.402 Å, I = 75, (2 0 2)
- d = 6.383 Å, I = 67, (0 1 2)
- d = 2.935 Å, I = 66, (3 0 3)
- d = 2.388 Å, I = 56, (3 2 1)
- d = 2.128 Å, I = 54, (0 3 6)
- d = 2.597 Å, I = 43, (4 0 1)
- d = 2.499 Å, I = 40, (1 2 5)
- d = 2.826 Å, I = 34, (2 1 4)
- d = 1.841 Å, I = 26, (1 5 2)



4.
# Cu9Hg
Calculated powder X-ray diffraction pattern, copper Kα. Input: the GGA-PBE geometry in OQMD.
No peak broadening, texture or thermal motion is included.

Atomic structure:
Cell: 2.6278 3.4864 38.1707 Å, 90.00 90.00 90.00°
Space group Pmmn (No. 59, origin choice 2)
Symmetry-distinct sites (fractional):
Cu 0.2500 0.2500 0.0168 x2
Cu 0.2500 0.2500 0.0840 x2
Cu 0.2500 0.2500 0.1513 x2
Cu 0.2500 0.2500 0.2189 x2
Cu 0.2500 0.2500 0.2862 x2
Cu 0.2500 0.2500 0.7474 x2
Cu 0.2500 0.2500 0.8150 x2
Cu 0.2500 0.2500 0.8823 x2
Cu 0.2500 0.2500 0.9495 x2
Hg 0.2500 0.2500 0.6637 x2

Main lines, by intensity (2θ from 10° to 90°):
- d = 2.098 Å, I = 100, (1 1 0)
- d = 2.148 Å, I = 43, (0 1 14)
- d = 2.055 Å, I = 35, (0 1 15)
- d = 1.892 Å, I = 29, (1 0 14)
- d = 1.743 Å, I = 25, (0 2 0)
- d = 1.828 Å, I = 24, (1 0 15)
- d = 6.362 Å, I = 20, (0 0 6)
- d = 3.174 Å, I = 17, (0 1 5)
- d = 1.282 Å, I = 16, (1 2 14)
- d = 2.459 Å, I = 14, (0 1 11)



5.
# Cu9Hg
Calculated powder X-ray diffraction pattern, copper Kα. Input: the GGA-PBE geometry in OQMD.
No peak broadening, texture or thermal motion is included.

Atomic structure:
Cell: 2.6409 2.6409 46.8128 Å, 90.00 90.00 90.00°
Space group P4/nmm (No. 129, origin choice 2)
Symmetry-distinct sites (fractional):
Cu 0.2500 0.2500 0.0180 x2
Cu 0.2500 0.2500 0.0901 x2
Cu 0.2500 0.2500 0.1623 x2
Cu 0.2500 0.2500 0.2351 x2
Cu 0.2500 0.2500 0.3083 x2
Cu 0.2500 0.2500 0.7280 x2
Cu 0.2500 0.2500 0.8013 x2
Cu 0.2500 0.2500 0.8739 x2
Cu 0.2500 0.2500 0.9460 x2
Hg 0.2500 0.2500 0.6410 x2

Main lines, by intensity (2θ from 10° to 90°):
- d = 2.130 Å, I = 100, (1 0 13)
- d = 2.072 Å, I = 97, (1 0 14)
- d = 1.867 Å, I = 76, (1 1 0)
- d = 6.688 Å, I = 31, (0 0 7)
- d = 2.187 Å, I = 30, (1 0 12)
- d = 1.122 Å, I = 25, (2 1 13)
- d = 1.114 Å, I = 23, (2 1 14)
- d = 1.320 Å, I = 23, (2 0 0)
- d = 2.355 Å, I = 22, (1 0 9)
- d = 7.802 Å, I = 19, (0 0 6)



6.
# Cu7Hg
Calculated powder X-ray diffraction pattern, copper Kα. Input: the GGA-PBE geometry in OQMD.
No peak broadening, texture or thermal motion is included.

Atomic structure:
Cell: 2.6620 2.6620 40.0007 Å, 90.00 90.00 90.00°
Space group P4/nmm (No. 129, origin choice 2)
Symmetry-distinct sites (fractional):
Cu 0.2500 0.2500 0.0212 x2
Cu 0.2500 0.2500 0.1052 x2
Cu 0.2500 0.2500 0.1888 x2
Cu 0.2500 0.2500 0.2728 x2
Cu 0.2500 0.2500 0.7689 x2
Cu 0.2500 0.2500 0.8526 x2
Cu 0.2500 0.2500 0.9367 x2
Hg 0.2500 0.2500 0.6692 x2

Main lines, by intensity (2θ from 10° to 90°):
- d = 2.080 Å, I = 100, (1 0 12)
- d = 2.148 Å, I = 81, (1 0 11)
- d = 1.882 Å, I = 64, (1 1 0)
- d = 6.667 Å, I = 37, (0 0 6)
- d = 2.350 Å, I = 28, (1 0 8)
- d = 8.000 Å, I = 26, (0 0 5)
- d = 2.216 Å, I = 25, (1 0 10)
- d = 1.121 Å, I = 24, (2 1 12)
- d = 1.331 Å, I = 21, (2 0 0)
- d = 2.526 Å, I = 20, (1 0 5)



7.
# Cu7Hg6
Calculated powder X-ray diffraction pattern, copper Kα. Input: the GGA-PBE geometry in OQMD.
No peak broadening, texture or thermal motion is included.

Atomic structure:
Cell: 13.5497 13.5497 8.1676 Å, 90.00 90.00 120.00°
Space group R3m (No. 160, hexagonal axes)
Symmetry-distinct sites (fractional):
Cu 0.0000 0.0000 0.0000 x3
Cu 0.0000 0.0000 0.4990 x3
Cu 0.0653 0.1306 0.2573 x9
Cu 0.1059 0.2119 0.5665 x9
Cu 0.1301 0.0651 0.7417 x9
Cu 0.2120 0.1060 0.4326 x9
Hg 0.9999 0.3890 0.9999 x18
Hg 0.0972 0.5486 0.6026 x9
Hg 0.2152 0.4303 0.7300 x9

Main lines, by intensity (2θ from 10° to 90°):
- d = 2.257 Å, I = 100, (3 3 0)
- d = 2.248 Å, I = 96, (2 3 2)
- d = 2.235 Å, I = 90, (3 0 3)
- d = 2.557 Å, I = 81, (3 2 1)
- d = 3.004 Å, I = 31, (1 2 2)
- d = 3.023 Å, I = 30, (1 3 1)
- d = 2.041 Å, I = 28, (5 1 1)
- d = 2.723 Å, I = 25, (0 0 3)
- d = 1.299 Å, I = 21, (3 6 3)
- d = 1.540 Å, I = 20, (0 5 4)



8.
# Cu9Hg2
Calculated powder X-ray diffraction pattern, copper Kα. Input: the GGA-PBE geometry in OQMD.
No peak broadening, texture or thermal motion is included.

Atomic structure:
Cell: 2.7018 2.7018 31.5805 Å, 90.00 90.00 120.00°
Space group P-3m1 (No. 164)
Symmetry-distinct sites (fractional):
Cu 0.0000 0.0000 0.0000 x1
Cu 0.0000 0.0000 0.1885 x2
Cu 0.3333 0.6667 0.1255 x2
Cu 0.3333 0.6667 0.7488 x2
Cu 0.3333 0.6667 0.9372 x2
Hg 0.3333 0.6667 0.3343 x2

Main lines, by intensity (2θ from 10° to 90°):
- d = 2.194 Å, I = 100, (1 0 5)
- d = 1.880 Å, I = 49, (0 1 10)
- d = 5.263 Å, I = 31, (0 0 6)
- d = 1.351 Å, I = 20, (1 1 0)
- d = 2.315 Å, I = 18, (1 0 2)
- d = 2.105 Å, I = 17, (0 0 15)
- d = 3.509 Å, I = 16, (0 0 9)
- d = 2.077 Å, I = 16, (0 1 7)
- d = 2.013 Å, I = 15, (0 1 8)
- d = 2.284 Å, I = 14, (1 0 3)